Entry 1:
Starting from the PBE geometry in Alexandria, the powder XRD pattern of Rb3TaS4 was calculated for Cu Kα (λ = 1.5418 Å).
Intensities are scaled so that the largest is 100.

Crystal structure
Unit cell a=9.711 b=11.283 c=9.879 alpha=90.00 beta=90.00 gamma=90.00
Positions (direct):
Rb: 0.054 0.044 0.212
Rb: 0.054 0.456 0.212
Rb: 0.140 0.750 0.423
Rb: 0.360 0.250 0.923
Rb: 0.446 0.544 0.712
Rb: 0.446 0.956 0.712
Rb: 0.554 0.044 0.288
Rb: 0.554 0.456 0.288
Rb: 0.640 0.750 0.077
Rb: 0.860 0.250 0.577
Rb: 0.946 0.544 0.788
Rb: 0.946 0.956 0.788
Ta: 0.218 0.750 0.987
Ta: 0.282 0.250 0.487
Ta: 0.718 0.750 0.513
Ta: 0.782 0.250 0.013
S: 0.002 0.750 0.081
S: 0.167 0.082 0.551
S: 0.167 0.418 0.551
S: 0.198 0.750 0.756
S: 0.302 0.250 0.256
S: 0.333 0.582 0.051
S: 0.333 0.918 0.051
S: 0.498 0.250 0.581
S: 0.502 0.750 0.419
S: 0.667 0.082 0.949
S: 0.667 0.418 0.949
S: 0.698 0.750 0.744
S: 0.802 0.250 0.244
S: 0.833 0.582 0.449
S: 0.833 0.918 0.449
S: 0.998 0.250 0.919

Principal peaks in the range 10 to 90 degrees two-theta, most intense first:
two_theta  I_rel
15.01  100
30.08  83
23.94  82
25.71  76
24.18  60
29.72  34
31.72  30
15.71  26

Entry 2:
Starting from the PBE geometry in Alexandria, the powder XRD pattern of Rb2Ta4S7 was calculated for Cu Kα (λ = 1.5418 Å).
Intensities are scaled so that the largest is 100.

Crystal structure
Unit cell a=6.036 b=6.036 c=8.192 alpha=90.33 beta=90.27 gamma=110.27
Positions (direct):
Rb: 0.166 0.335 0.000
Rb: 0.834 0.665 0.000
Ta: 0.222 0.278 0.500
Ta: 0.497 0.997 0.314
Ta: 0.503 0.003 0.686
Ta: 0.778 0.722 0.500
S: 0.089 0.953 0.698
S: 0.157 0.656 0.372
S: 0.453 0.589 0.698
S: 0.500 0.000 0.000
S: 0.547 0.411 0.302
S: 0.843 0.344 0.628
S: 0.911 0.047 0.302

Principal peaks in the range 10 to 90 degrees two-theta, most intense first:
two_theta  I_rel
10.80  100
30.00  62
25.82  55
28.27  48
38.52  36
46.38  29
38.80  28
26.96  26

Entry 3:
Starting from the PBE geometry in Alexandria, the powder XRD pattern of RbTa2TiS8 was calculated for Cu Kα (λ = 1.5418 Å).
Intensities are scaled so that the largest is 100.

Crystal structure
Unit cell a=10.148 b=10.148 c=10.148 alpha=36.62 beta=36.62 gamma=36.62
Positions (direct):
Rb: 0.000 0.000 0.000
Ta: 0.238 0.238 0.238
Ta: 0.762 0.762 0.762
Ti: 0.500 0.500 0.500
S: 0.141 0.444 0.763
S: 0.237 0.859 0.556
S: 0.317 0.317 0.317
S: 0.444 0.763 0.141
S: 0.556 0.237 0.859
S: 0.683 0.683 0.683
S: 0.763 0.141 0.444
S: 0.859 0.556 0.237

Principal peaks in the range 10 to 90 degrees two-theta, most intense first:
two_theta  I_rel
20.38  100
27.99  44
17.23  40
34.87  25
45.29  24
49.52  23
29.95  22
47.90  21

Entry 4:
Starting from the PBE geometry in Alexandria, the powder XRD pattern of RbTbTm4S8 was calculated for Cu Kα (λ = 1.5418 Å).
Intensities are scaled so that the largest is 100.

Crystal structure
Unit cell a=8.234 b=8.234 c=8.234 alpha=59.45 beta=59.45 gamma=59.45
Positions (direct):
Rb: 0.000 0.000 0.000
Tb: 0.633 0.633 0.633
Tm: 0.114 0.632 0.632
Tm: 0.253 0.253 0.253
Tm: 0.632 0.114 0.632
Tm: 0.632 0.632 0.114
S: 0.383 0.383 0.858
S: 0.383 0.858 0.383
S: 0.385 0.385 0.385
S: 0.434 0.862 0.862
S: 0.858 0.383 0.383
S: 0.858 0.858 0.858
S: 0.862 0.434 0.862
S: 0.862 0.862 0.434

Principal peaks in the range 10 to 90 degrees two-theta, most intense first:
two_theta  I_rel
25.52  100
43.99  39
44.38  39
30.85  35
25.34  32
40.43  26
40.54  21
13.26  20

Entry 5:
Starting from the PBE geometry in Alexandria, the powder XRD pattern of Rb3U3TcS8 was calculated for Cu Kα (λ = 1.5418 Å).
Intensities are scaled so that the largest is 100.

Crystal structure
Unit cell a=9.181 b=9.181 c=9.181 alpha=48.97 beta=48.97 gamma=48.97
Positions (direct):
Rb: 0.000 0.500 0.500
Rb: 0.500 0.000 0.500
Rb: 0.500 0.500 0.000
U: 0.000 0.000 0.500
U: 0.000 0.500 0.000
U: 0.500 0.000 0.000
Tc: 0.500 0.500 0.500
S: 0.233 0.233 0.233
S: 0.248 0.718 0.718
S: 0.282 0.282 0.752
S: 0.282 0.752 0.282
S: 0.718 0.248 0.718
S: 0.718 0.718 0.248
S: 0.752 0.282 0.282
S: 0.767 0.767 0.767

Principal peaks in the range 10 to 90 degrees two-theta, most intense first:
two_theta  I_rel
30.91  100
10.98  88
28.07  48
40.50  41
22.05  33
47.81  30
53.24  21
27.32  20